The following is a simulated powder X-ray diffraction pattern of AcMg6Tl12. It was derived from a structure optimized by DFT (PBE), using Cu Ka.

Structure:
Lattice parameters (Å, degrees): 10.326 10.326 10.326 90.00 90.00 90.00
Space group Im-3 (No. 204)
Asymmetric unit:
Ac  0.000  0.000  0.000
Mg  0.000  0.145  0.500
Tl  0.000  0.274  0.189

The 10 most intense peaks (2θ from 10° to 90°), sorted by position:
12.12 deg, I = 28
24.38 deg, I = 19
27.31 deg, I = 46
29.98 deg, I = 85
32.44 deg, I = 100
34.75 deg, I = 40
39.01 deg, I = 20
51.61 deg, I = 39
54.80 deg, I = 43
63.73 deg, I = 24